No. 1
Theoretical X-ray diffraction stick pattern of K2SnBr2Cl4 for Cu Kα X-rays, from a structure optimized by DFT (GGA-PBE).
No peak broadening, texture or thermal motion is included.

Top 8 peaks for 5° ≤ 2θ ≤ 70°, by intensity:
two_theta  d/Å  I_rel
14.70  6.026  100
34.53  2.597  92
17.07  5.195  83
29.65  3.013  79
49.27  1.850  63
34.04  2.634  48
24.23  3.673  44
61.55  1.507  31

Atomic structure:
```
K2SnBr2Cl4
1.0
-3.673 3.673 5.268
3.673 -3.673 5.268
3.673 3.673 -5.268
K Sn Br Cl
2 1 2 4
direct
0.250 0.750 0.500
0.750 0.250 0.500
0.000 0.000 0.000
0.250 0.250 0.000
0.750 0.750 0.000
0.238 0.238 0.476
0.238 0.762 0.000
0.762 0.238 0.000
0.762 0.762 0.524
```

No. 2
Theoretical X-ray diffraction stick pattern of Pr4PbBr5 for Cu Kα X-rays, from a structure optimized by DFT (GGA-PBE).
No peak broadening, texture or thermal motion is included.

Top 8 peaks for 5° ≤ 2θ ≤ 70°, by intensity:
two_theta  d/Å  I_rel
28.72  3.108  100
9.86  8.970  65
29.30  3.048  57
40.37  2.234  40
42.59  2.123  33
9.67  9.144  27
52.36  1.747  22
42.39  2.132  18

Atomic structure:
```
Pr4PbBr5
1.0
9.282 -2.132 0.000
9.282 2.132 0.000
-1.559 0.000 8.970
Pr Pb Br
4 1 5
direct
0.003 0.003 0.246
0.330 0.330 0.938
0.670 0.670 0.062
0.997 0.997 0.754
0.500 0.500 0.000
0.165 0.165 0.810
0.168 0.168 0.307
0.500 0.500 0.500
0.832 0.832 0.693
0.835 0.835 0.190
```

No. 3
Theoretical X-ray diffraction stick pattern of Ba6InIr for Cu Kα X-rays, from a structure optimized by DFT (GGA-PBE).
No peak broadening, texture or thermal motion is included.

Top 8 peaks for 5° ≤ 2θ ≤ 70°, by intensity:
two_theta  d/Å  I_rel
26.84  3.321  100
27.33  3.263  40
15.13  5.858  34
39.50  2.281  32
13.32  6.645  27
37.85  2.377  25
24.28  3.665  23
21.71  4.093  20

Atomic structure:
```
Ba6InIr
1.0
4.246 -6.645 0.000
4.246 6.645 0.000
-2.057 0.000 7.729
Ba In Ir
6 1 1
direct
0.031 0.352 0.245
0.261 0.261 0.793
0.352 0.031 0.245
0.648 0.969 0.755
0.739 0.739 0.207
0.969 0.648 0.755
0.500 0.500 0.500
0.000 0.000 0.000
```

Repeat the first record exactly.
Theoretical X-ray diffraction stick pattern of K2SnBr2Cl4 for Cu Kα X-rays, from a structure optimized by DFT (GGA-PBE).
No peak broadening, texture or thermal motion is included.

Top 8 peaks for 5° ≤ 2θ ≤ 70°, by intensity:
two_theta  d/Å  I_rel
14.70  6.026  100
34.53  2.597  92
17.07  5.195  83
29.65  3.013  79
49.27  1.850  63
34.04  2.634  48
24.23  3.673  44
61.55  1.507  31

Atomic structure:
```
K2SnBr2Cl4
1.0
-3.673 3.673 5.268
3.673 -3.673 5.268
3.673 3.673 -5.268
K Sn Br Cl
2 1 2 4
direct
0.250 0.750 0.500
0.750 0.250 0.500
0.000 0.000 0.000
0.250 0.250 0.000
0.750 0.750 0.000
0.238 0.238 0.476
0.238 0.762 0.000
0.762 0.238 0.000
0.762 0.762 0.524
```